For BaI2O, a GGA-PBE-relaxed structure gives the theoretical X-ray diffraction stick pattern in this record (CuKα).
Intensities are scaled so that the largest is 100.

```
BaI2O
1.0
9.8104 0.0000 0.0000
0.0000 4.6443 0.0000
0.0000 0.0000 12.2728
Ba I O
4 8 4
direct
0.2293 0.2500 0.1229
0.2707 0.7500 0.6229
0.7293 0.2500 0.3771
0.7707 0.7500 0.8771
0.0489 0.7500 0.3433
0.1330 0.7500 0.9016
0.3670 0.2500 0.4016
0.4511 0.2500 0.8433
0.5489 0.7500 0.1567
0.6330 0.7500 0.5984
0.8670 0.2500 0.0984
0.9511 0.2500 0.6567
0.1525 0.2500 0.6503
0.3475 0.7500 0.1503
0.6525 0.2500 0.8497
0.8475 0.7500 0.3497
```

The 10 most intense peaks (2θ from 10° to 90°), low angle first:
d = 3.465 Å, rel. 100; d = 3.372 Å, rel. 21; d = 3.252 Å, rel. 56; d = 3.160 Å, rel. 19; d = 3.069 Å, rel. 70; d = 2.886 Å, rel. 51; d = 2.322 Å, rel. 28; d = 1.852 Å, rel. 19; d = 1.809 Å, rel. 37; d = 1.653 Å, rel. 19



For Ba2I2O, a GGA-PBE-relaxed structure gives the theoretical X-ray diffraction stick pattern in this record (CuKα).
Intensities are scaled so that the largest is 100.

```
Ba2I2O
1.0
-3.8600 7.0662 3.4582
3.8600 -7.0662 3.4582
3.8600 7.0662 -3.4582
Ba I O
4 4 2
direct
0.0929 0.1742 0.2671
0.4071 0.6742 0.0813
0.5929 0.3258 0.9187
0.9071 0.8258 0.7329
0.1500 0.6571 0.8071
0.3500 0.1571 0.5070
0.6500 0.8429 0.4930
0.8500 0.3429 0.1929
0.2500 0.2500 0.0000
0.7500 0.7500 0.0000
```

The 10 most intense peaks (2θ from 10° to 90°), low angle first:
d = 3.860 Å, rel. 22; d = 3.533 Å, rel. 44; d = 3.458 Å, rel. 76; d = 3.279 Å, rel. 100; d = 2.914 Å, rel. 67; d = 2.741 Å, rel. 53; d = 2.471 Å, rel. 40; d = 1.960 Å, rel. 23; d = 1.729 Å, rel. 28; d = 1.671 Å, rel. 29



For BaIO5, a GGA-PBE-relaxed structure gives the theoretical X-ray diffraction stick pattern in this record (CuKα).
Intensities are scaled so that the largest is 100.

```
BaIO5
1.0
4.9342 0.0000 0.0000
1.1711 7.8465 0.0000
0.1447 3.3843 7.3445
Ba I O
2 2 10
direct
0.2218 0.1477 0.1064
0.7782 0.8523 0.8936
0.1996 0.2211 0.5679
0.8004 0.7789 0.4321
0.2157 0.6472 0.1643
0.2184 0.5564 0.8297
0.2304 0.0250 0.8213
0.3951 0.7503 0.1661
0.4326 0.6363 0.7944
0.5674 0.3637 0.2056
0.6049 0.2497 0.8339
0.7696 0.9750 0.1787
0.7816 0.4436 0.1703
0.7843 0.3528 0.8357
```

The 10 most intense peaks (2θ from 10° to 90°), low angle first:
d = 7.126 Å, rel. 59; d = 4.348 Å, rel. 77; d = 3.762 Å, rel. 100; d = 3.353 Å, rel. 92; d = 3.155 Å, rel. 89; d = 3.114 Å, rel. 70; d = 3.004 Å, rel. 78; d = 2.819 Å, rel. 51; d = 2.437 Å, rel. 44; d = 1.883 Å, rel. 45



For BaIO5, a GGA-PBE-relaxed structure gives the theoretical X-ray diffraction stick pattern in this record (CuKα).
Intensities are scaled so that the largest is 100.

```
BaIO5
1.0
5.4695 0.0000 0.0000
0.2666 6.9782 0.0000
0.1583 1.3337 7.5047
Ba I O
2 2 10
direct
0.2093 0.2087 0.0698
0.7907 0.7913 0.9302
0.1903 0.1895 0.5816
0.8097 0.8105 0.4184
0.1607 0.0018 0.8015
0.2004 0.5515 0.7997
0.2220 0.6807 0.1719
0.3846 0.8136 0.1623
0.4153 0.6204 0.7827
0.5847 0.3796 0.2173
0.6154 0.1864 0.8377
0.7780 0.3193 0.8281
0.7996 0.4485 0.2003
0.8393 0.9982 0.1985
```

The 10 most intense peaks (2θ from 10° to 90°), low angle first:
d = 6.871 Å, rel. 26; d = 4.352 Å, rel. 50; d = 4.206 Å, rel. 96; d = 3.435 Å, rel. 43; d = 3.074 Å, rel. 100; d = 3.031 Å, rel. 65; d = 2.955 Å, rel. 33; d = 2.788 Å, rel. 39; d = 2.732 Å, rel. 33; d = 2.138 Å, rel. 35



For BaIO5, a GGA-PBE-relaxed structure gives the theoretical X-ray diffraction stick pattern in this record (CuKα).
Intensities are scaled so that the largest is 100.

```
BaIO5
1.0
5.8743 0.0000 0.0000
1.0496 7.0175 0.0000
0.2683 0.1159 7.3699
Ba I O
2 2 10
direct
0.2192 0.2149 0.0475
0.7808 0.7851 0.9525
0.1915 0.2111 0.5120
0.8085 0.7889 0.4880
0.1902 0.5564 0.8710
0.2316 0.7079 0.2299
0.2418 0.8710 0.8581
0.3442 0.6816 0.8436
0.3791 0.8225 0.2237
0.6209 0.1775 0.7763
0.6558 0.3184 0.1564
0.7582 0.1290 0.1419
0.7684 0.2921 0.7701
0.8098 0.4436 0.1290
```

The 10 most intense peaks (2θ from 10° to 90°), low angle first:
d = 4.837 Å, rel. 95; d = 4.181 Å, rel. 83; d = 3.685 Å, rel. 61; d = 3.508 Å, rel. 100; d = 3.241 Å, rel. 35; d = 2.988 Å, rel. 82; d = 2.903 Å, rel. 67; d = 2.834 Å, rel. 32; d = 2.785 Å, rel. 56; d = 2.744 Å, rel. 63



For Ba5Re3IO15, a GGA-PBE-relaxed structure gives the theoretical X-ray diffraction stick pattern in this record (CuKα).
Intensities are scaled so that the largest is 100.

```
Ba5Re3IO15
1.0
11.2297 0.0000 0.0000
-5.6148 9.7252 0.0000
0.0000 0.0000 7.9926
Ba Re I O
10 6 2 30
direct
0.0000 0.2728 0.0000
0.0000 0.7272 0.5000
0.2728 0.0000 0.0000
0.2728 0.2728 0.5000
0.3333 0.6667 0.2603
0.3333 0.6667 0.7603
0.6667 0.3333 0.2603
0.6667 0.3333 0.7603
0.7272 0.0000 0.5000
0.7272 0.7272 0.0000
0.0000 0.3912 0.5560
0.0000 0.6088 0.0560
0.3912 0.0000 0.5560
0.3912 0.3912 0.0560
0.6088 0.0000 0.0560
0.6088 0.6088 0.5560
0.0000 0.0000 0.2345
0.0000 0.0000 0.7345
0.0000 0.2991 0.3781
0.0000 0.7009 0.8781
0.1301 0.5540 0.0168
0.1301 0.5761 0.5168
0.1309 0.3898 0.6953
0.1309 0.7410 0.1953
0.2590 0.3898 0.1953
0.2590 0.8691 0.6953
0.2991 0.0000 0.3781
0.2991 0.2991 0.8781
0.3898 0.1309 0.6953
0.3898 0.2590 0.1953
0.4239 0.5540 0.5168
0.4239 0.8699 0.0168
0.4460 0.5761 0.0168
0.4460 0.8699 0.5168
0.5540 0.1301 0.0168
0.5540 0.4239 0.5168
0.5761 0.1301 0.5168
0.5761 0.4460 0.0168
0.6102 0.7410 0.6953
0.6102 0.8691 0.1953
0.7009 0.0000 0.8781
0.7009 0.7009 0.3781
0.7410 0.1309 0.1953
0.7410 0.6102 0.6953
0.8691 0.2590 0.6953
0.8691 0.6102 0.1953
0.8699 0.4239 0.0168
0.8699 0.4460 0.5168
```

The 10 most intense peaks (2θ from 10° to 90°), low angle first:
d = 4.594 Å, rel. 19; d = 3.996 Å, rel. 19; d = 3.340 Å, rel. 72; d = 3.256 Å, rel. 100; d = 3.242 Å, rel. 90; d = 2.556 Å, rel. 28; d = 2.297 Å, rel. 30; d = 2.157 Å, rel. 18; d = 1.874 Å, rel. 26; d = 1.791 Å, rel. 21



For BaTiI6O18, a GGA-PBE-relaxed structure gives the theoretical X-ray diffraction stick pattern in this record (CuKα).
Intensities are scaled so that the largest is 100.

```
BaTiI6O18
1.0
5.7775 3.3356 3.7817
-5.7775 3.3356 3.7817
0.0000 -6.6713 3.7817
Ba Ti I O
1 1 6 18
direct
0.0000 0.0000 0.0000
0.3881 0.3881 0.3881
0.0082 0.2208 0.5784
0.1717 0.7509 0.5399
0.2208 0.5784 0.0082
0.5399 0.1717 0.7509
0.5784 0.0082 0.2208
0.7509 0.5399 0.1717
0.1673 0.2650 0.7895
0.1764 0.2136 0.4231
0.1932 0.8004 0.7830
0.2136 0.4231 0.1764
0.2650 0.7895 0.1673
0.3267 0.5792 0.5440
0.4231 0.1764 0.2136
0.4854 0.9724 0.5840
0.5440 0.3267 0.5792
0.5679 0.9606 0.9798
0.5792 0.5440 0.3267
0.5840 0.4854 0.9724
0.7830 0.1932 0.8004
0.7895 0.1673 0.2650
0.8004 0.7830 0.1932
0.9606 0.9798 0.5679
0.9724 0.5840 0.4854
0.9798 0.5679 0.9606
```

The 10 most intense peaks (2θ from 10° to 90°), low angle first:
d = 4.935 Å, rel. 32; d = 3.752 Å, rel. 29; d = 3.588 Å, rel. 81; d = 3.336 Å, rel. 55; d = 3.164 Å, rel. 100; d = 3.147 Å, rel. 26; d = 2.696 Å, rel. 56; d = 1.887 Å, rel. 19; d = 1.865 Å, rel. 21; d = 1.796 Å, rel. 34



For Ba5P5I3, a GGA-PBE-relaxed structure gives the theoretical X-ray diffraction stick pattern in this record (CuKα).
Intensities are scaled so that the largest is 100.

```
Ba5P5I3
1.0
21.5789 -2.3037 0.0000
21.5789 2.3037 0.0000
-0.4040 0.0000 9.5636
Ba P I
10 10 6
direct
0.0417 0.0417 0.3510
0.0596 0.0596 0.7928
0.2601 0.2601 0.2220
0.3420 0.3420 0.9526
0.3615 0.3615 0.4133
0.6385 0.6385 0.5867
0.6580 0.6580 0.0474
0.7399 0.7399 0.7780
0.9404 0.9404 0.2072
0.9583 0.9583 0.6490
0.1306 0.1306 0.8263
0.1798 0.1798 0.7828
0.2091 0.2091 0.9722
0.4366 0.4366 0.4400
0.4858 0.4858 0.3959
0.5142 0.5142 0.6041
0.5634 0.5634 0.5600
0.7909 0.7909 0.0278
0.8202 0.8202 0.2172
0.8694 0.8694 0.1737
0.1250 0.1250 0.2995
0.2899 0.2899 0.6044
0.4489 0.4489 0.9320
0.5511 0.5511 0.0680
0.7101 0.7101 0.3956
0.8750 0.8750 0.7005
```

The 10 most intense peaks (2θ from 10° to 90°), low angle first:
d = 4.312 Å, rel. 67; d = 3.906 Å, rel. 41; d = 3.412 Å, rel. 31; d = 3.316 Å, rel. 89; d = 3.254 Å, rel. 36; d = 3.212 Å, rel. 84; d = 3.166 Å, rel. 100; d = 2.962 Å, rel. 47; d = 2.691 Å, rel. 90; d = 2.303 Å, rel. 86